For Mn2GaN, DFT lattice parameters and positions (GGA-PBE) gives the simulated powder XRD pattern in this record (Cu Kα (weighted mean of Kα1 and Kα2)).
Intensities are scaled so that the largest is 100.

Peak list (10 most intense, 2θ from 10° to 80°, sorted by position)
two_theta	I/Imax	index
13.43	2	0 0 1
37.79	51	1 0 0
40.28	69	1 0 1
41.08	35	0 0 3
47.10	100	1 0 2
55.79	3	0 0 4
57.05	23	1 0 3
68.24	29	1 1 0
69.36	12	1 0 4
69.92	1	1 1 1

Structural model:
```
data_Mn2GaN
_cell_length_a 2.7486
_cell_length_b 2.7486
_cell_length_c 6.5912
_cell_angle_alpha 90.00
_cell_angle_beta 90.00
_cell_angle_gamma 120.00
_symmetry_space_group_name_H-M 'P -6 m 2'
_symmetry_Int_Tables_number 187
_symmetry_space_group_name_Hall 'P -6 2'
loop_
_atom_site_label
_atom_site_type_symbol
_atom_site_fract_x
_atom_site_fract_y
_atom_site_fract_z
Mn1 Mn 0.0000 0.0000 0.1846
Ga1 Ga 0.3333 0.6667 0.5000
N1 N 0.3333 0.6667 0.0000
```